For TbPmCl3, the PBE geometry in Alexandria gives the calculated X-ray diffraction stick pattern in this record (Cu Kα (weighted mean of Kα1 and Kα2)).

Cell: 15.8288 3.9157 10.6002 Å, 90.00 119.26 90.00°
Space group C2/m (No. 12)
Asymmetric unit:
Tb1 0.0867 0.0000 0.4519
Pm1 0.1401 0.5000 0.7917
Cl1 0.0473 0.5000 0.2470
Cl2 0.1577 0.0000 0.0070
Cl3 0.2247 0.5000 0.6147

Top 6 peaks for 10° ≤ 2θ ≤ 90°, sorted by position:
2θ = 11.66°, d = 7.590 Å, I 93, hkl 2 0 -1
2θ = 26.72°, d = 3.337 Å, I 100, hkl 1 1 1
2θ = 28.50°, d = 3.132 Å, I 55, hkl 1 1 -2
2θ = 32.60°, d = 2.747 Å, I 56, hkl 1 1 2
2θ = 35.28°, d = 2.544 Å, I 38, hkl 6 0 -1
2θ = 36.67°, d = 2.450 Å, I 46, hkl 5 1 -2



For Dy3Pt, the PBE geometry in Alexandria gives the calculated X-ray diffraction stick pattern in this record (Cu Kα (weighted mean of Kα1 and Kα2)).

Cell: 3.6778 5.2567 11.0032 Å, 90.00 90.00 90.00°
Space group Immm (No. 71)
Asymmetric unit:
Dy1 0.0000 0.0000 0.0000
Dy2 0.0000 0.5000 0.1999
Pt1 0.0000 0.0000 0.5000

Top 6 peaks for 10° ≤ 2θ ≤ 90°, sorted by position:
2θ = 32.55°, d = 2.751 Å, I 15, hkl 0 0 4
2θ = 33.92°, d = 2.643 Å, I 100, hkl 1 1 2
2θ = 34.11°, d = 2.628 Å, I 30, hkl 0 2 0
2θ = 44.62°, d = 2.031 Å, I 16, hkl 0 1 5
2θ = 60.94°, d = 1.520 Å, I 19, hkl 1 3 2
2θ = 61.55°, d = 1.507 Å, I 12, hkl 2 2 0



For Na2In2Hg, the PBE geometry in Alexandria gives the calculated X-ray diffraction stick pattern in this record (Cu Kα (weighted mean of Kα1 and Kα2)).

Cell: 11.3420 5.0599 10.0777 Å, 90.00 106.68 90.00°
Space group C2/m (No. 12)
Asymmetric unit:
Na1 0.0833 0.0000 0.3736
Na2 0.1695 0.0000 0.0596
In1 0.0087 0.5000 0.8598
In2 0.1145 0.5000 0.6198
Hg1 0.2495 0.0000 0.6979

Top 6 peaks for 10° ≤ 2θ ≤ 90°, sorted by position:
2θ = 19.35°, d = 4.587 Å, I 63, hkl 1 1 0
2θ = 20.82°, d = 4.267 Å, I 45, hkl 2 0 -2
2θ = 27.88°, d = 3.201 Å, I 45, hkl 2 0 -3
2θ = 31.98°, d = 2.799 Å, I 45, hkl 1 1 -3
2θ = 33.83°, d = 2.650 Å, I 100, hkl 3 1 1
2θ = 35.48°, d = 2.530 Å, I 55, hkl 0 2 0